Structure and calculated X-ray powder pattern of CoNiO3 (the PBE+U geometry in the Materials Project; Cu Kα, 1.54184 Å).
Neutral-atom scattering factors, no anomalous dispersion.

Atomic structure:
```
10
Lattice="4.885 0.000 0.000 -2.390 4.261 0.000 -2.408 -1.388 4.552" Properties=species:S:1:pos:R:3 pbc="T T T"
Co 0.000 0.000 0.000
Co 0.086 2.806 0.212
Ni 0.067 -0.004 2.692
Ni 2.505 1.431 2.075
O -3.160 2.678 3.591
O -1.538 3.013 1.170
O 0.713 1.353 1.163
O -0.879 1.522 3.602
O 3.450 -0.091 1.168
O 1.862 0.074 3.598
```

Main lines, low angle first (10° ≤ 2θ ≤ 90°):
2θ (°), d/Å, I (rel.)
24.9, 3.577, 35
33.5, 2.674, 52
33.7, 2.661, 56
33.9, 2.647, 51
36.4, 2.469, 53
36.8, 2.442, 100
55.2, 1.665, 58
65.7, 1.420, 39

***

Structure and calculated X-ray powder pattern of CoNiO3 (the PBE+U geometry in the Materials Project; Cu Kα, 1.54184 Å).
Neutral-atom scattering factors, no anomalous dispersion.

Atomic structure:
```
10
Lattice="2.465 1.423 4.519 -2.465 1.423 4.519 0.000 -2.847 4.519" Properties=species:S:1:pos:R:3 pbc="T T T"
Co 0.000 0.000 2.138
Co 0.000 0.000 11.420
Ni 0.000 0.000 4.826
Ni 0.000 0.000 8.733
O -0.954 -1.497 5.730
O -1.774 0.077 7.829
O -0.820 1.575 5.730
O 0.820 -1.575 7.829
O 1.774 -0.077 5.730
O 0.954 1.497 7.829
```

Main lines, low angle first (10° ≤ 2θ ≤ 90°):
2θ (°), d/Å, I (rel.)
24.6, 3.613, 53
33.8, 2.655, 100
36.4, 2.465, 95
41.7, 2.164, 19
50.5, 1.807, 38
55.1, 1.666, 74
63.9, 1.457, 32
65.6, 1.423, 37

***

Structure and calculated X-ray powder pattern of CoNi2O4 (the PBE+U geometry in the Materials Project; Cu Kα, 1.54184 Å).
Neutral-atom scattering factors, no anomalous dispersion.

Atomic structure:
```
28
Lattice="5.040 0.000 0.000 0.000 5.876 0.000 -4.691 0.000 9.498" Properties=species:S:1:pos:R:3 pbc="T T T"
Co -1.176 0.839 4.478
Co -3.521 2.099 9.227
Co 3.871 3.777 0.271
Co 1.525 5.037 5.020
Ni -1.108 3.703 4.468
Ni -3.453 5.111 9.217
Ni -1.029 3.642 7.106
Ni 1.316 5.172 2.357
Ni -0.967 0.704 7.140
Ni 1.379 2.234 2.391
Ni 3.803 0.765 0.281
Ni 1.458 2.173 5.030
O -2.674 3.719 5.932
O -0.328 5.095 1.183
O -2.570 0.651 5.844
O -0.225 2.287 1.095
O 0.588 0.716 3.675
O -1.758 2.222 8.424
O 1.979 0.780 1.071
O -0.366 2.158 5.819
O 0.716 3.718 3.678
O -1.629 5.096 8.427
O 2.107 3.654 1.074
O -0.238 5.160 5.823
O 0.574 3.589 8.403
O 2.920 5.225 3.654
O 0.678 0.781 8.314
O 3.023 2.157 3.565
```

Main lines, low angle first (10° ≤ 2θ ≤ 90°):
2θ (°), d/Å, I (rel.)
18.7, 4.749, 39
32.9, 2.726, 38
35.4, 2.538, 100
35.6, 2.519, 50
42.0, 2.154, 43
52.3, 1.750, 45
53.3, 1.718, 38
63.9, 1.458, 36